Starting from a structure optimized by DFT (PBE), the X-ray powder pattern of TaTe2Br5 was computed for a wavelength of 1.5418 Å.
Intensities are scaled so that the largest is 100.

Most intense lines, 2θ from 15° to 90°, by angle:
Position (°2θ)	I_rel
15.3	67
15.8	57
17.2	39
17.3	54
22.1	100
33.1	73
34.9	43
35.5	34
42.5	17
45.0	26
46.3	49
51.3	20

Atomic structure:
```
TaTe2Br5
1.0
-5.6175 5.7820 2.8731
5.6175 -5.7820 2.8731
5.6175 5.7820 -2.8731
Ta Te Br
1 2 5
Cartesian
0.0000 0.0000 0.0000
5.6175 0.0000 1.1017
0.0000 5.7820 0.8966
1.7192 1.7166 -0.5172
9.5157 1.7166 -0.5172
0.0000 0.0000 2.3797
-3.8983 4.0654 2.3560
3.8983 4.0654 2.3560
```

Starting from a structure optimized by DFT (PBE), the X-ray powder pattern of Ta2Te4Br was computed for a wavelength of 1.5418 Å.
Intensities are scaled so that the largest is 100.

Most intense lines, 2θ from 15° to 90°, by angle:
Position (°2θ)	I_rel
25.3	28
27.2	53
31.4	40
32.9	45
33.6	100
34.0	29
35.1	33
36.8	42
41.0	37
42.6	32
43.0	43
47.3	30

Atomic structure:
```
Ta2Te4Br
1.0
7.6577 -3.8405 0.0000
7.6577 3.8405 0.0000
-2.9664 0.0000 6.8566
Ta Te Br
4 8 2
Cartesian
0.0000 0.0000 0.0000
-0.7715 0.0000 2.9606
10.7755 1.4792 0.2660
10.7755 -1.4792 0.2660
1.9624 0.0000 1.9172
6.0386 1.8835 1.1794
0.7713 0.0000 5.5144
5.8296 1.9956 5.0325
6.0386 -1.8835 1.1794
9.4752 0.0000 5.5190
5.8296 -1.9956 5.0325
11.5393 0.0000 2.5975
3.3536 0.0000 5.0140
8.7897 0.0000 1.1140
```

Starting from a structure optimized by DFT (PBE), the X-ray powder pattern of Ta2TlBr2 was computed for a wavelength of 1.5418 Å.
Intensities are scaled so that the largest is 100.

Most intense lines, 2θ from 15° to 90°, by angle:
Position (°2θ)	I_rel
29.6	50
30.1	77
33.0	100
41.8	21
42.1	78
42.4	65
52.9	33
61.3	52
61.6	22
71.7	21
75.9	15
84.4	17

Atomic structure:
```
Ta2TlBr2
1.0
-2.1307 2.1307 6.2037
2.1307 -2.1307 6.2037
2.1307 2.1307 -6.2037
Ta Tl Br
2 1 2
Cartesian
0.0000 0.0000 1.3165
0.0000 0.0000 11.0909
0.0000 0.0000 6.2037
2.1307 0.0000 3.1019
0.0000 2.1307 3.1019
```

Starting from a structure optimized by DFT (PBE), the X-ray powder pattern of TaTlBr6 was computed for a wavelength of 1.5418 Å.
Intensities are scaled so that the largest is 100.

Most intense lines, 2θ from 15° to 90°, by angle:
Position (°2θ)	I_rel
22.0	78
24.9	36
26.3	38
29.7	100
30.4	60
31.4	39
34.2	40
40.3	76
40.8	36
45.7	37
51.0	39
51.5	34

Atomic structure:
```
TaTlBr6
1.0
5.7739 -4.5634 0.0000
5.7739 4.5634 0.0000
-0.0403 0.0000 11.2827
Ta Tl Br
2 2 12
Cartesian
2.8870 2.2817 0.0000
2.8668 -2.2817 5.6413
5.7437 4.4058 8.4620
5.7639 -4.4058 2.8207
3.8241 1.9188 2.3266
2.0477 0.1418 5.6251
2.0276 -0.1418 11.2664
5.0418 1.5397 10.2781
6.4456 1.5397 6.6460
7.7036 1.9188 3.3147
3.8039 -1.9188 7.9680
5.0620 -1.5397 4.6367
6.4658 -1.5397 1.0046
9.4800 0.1418 0.0163
9.4599 -0.1418 5.6576
7.6835 -1.9188 8.9561
```

Starting from a structure optimized by DFT (PBE), the X-ray powder pattern of Zr4TaBr was computed for a wavelength of 1.5418 Å.
Intensities are scaled so that the largest is 100.

Most intense lines, 2θ from 15° to 90°, by angle:
Position (°2θ)	I_rel
18.8	8
21.7	4
30.9	37
36.4	100
38.1	31
54.9	15
58.6	33
64.3	26
73.1	6
76.2	11
77.3	11
89.6	8

Atomic structure:
```
Zr4TaBr
1.0
0.0000 4.0950 4.0950
4.0950 0.0000 4.0950
4.0950 4.0950 0.0000
Zr Ta Br
4 1 1
Cartesian
3.0996 3.0996 3.0996
5.0905 5.0905 3.0996
5.0905 3.0996 5.0905
3.0996 5.0905 5.0905
6.1426 6.1426 6.1426
0.0000 0.0000 0.0000
```

Starting from a structure optimized by DFT (PBE), the X-ray powder pattern of Tb4Br was computed for a wavelength of 1.5418 Å.
Intensities are scaled so that the largest is 100.

Most intense lines, 2θ from 15° to 90°, by angle:
Position (°2θ)	I_rel
16.3	7
23.1	6
28.4	100
32.9	87
36.9	3
47.1	63
55.9	46
58.7	22
68.9	10
76.1	18
78.4	28
87.7	22

Atomic structure:
```
Tb4Br
1.0
5.4524 0.0000 0.0000
0.0000 5.4524 0.0000
0.0000 0.0000 5.4524
Tb Br
4 1
Cartesian
0.0000 0.0000 0.0000
0.0000 2.7262 2.7262
2.7262 0.0000 2.7262
2.7262 2.7262 0.0000
2.7262 2.7262 2.7262
```

Starting from a structure optimized by DFT (PBE), the X-ray powder pattern of Tb6Br7 was computed for a wavelength of 1.5418 Å.
Intensities are scaled so that the largest is 100.

Most intense lines, 2θ from 15° to 90°, by angle:
Position (°2θ)	I_rel
16.6	11
28.3	19
31.7	100
32.1	27
32.2	10
34.3	19
35.8	11
43.3	14
44.8	20
46.6	18
47.5	14
58.5	13

Atomic structure:
```
Tb6Br7
1.0
10.6922 -1.9124 0.0000
10.6922 1.9124 0.0000
-6.3656 0.0000 9.8426
Tb Br
6 7
Cartesian
2.3499 0.0000 0.5364
0.6758 0.0000 6.5448
5.9419 0.0000 1.3266
9.0770 0.0000 8.5160
14.3430 0.0000 3.2978
12.6690 0.0000 9.3062
-3.7658 0.0000 7.5810
1.4044 0.0000 3.3889
5.5457 0.0000 4.3065
10.6922 0.0000 0.0000
9.4731 0.0000 5.5361
13.6144 0.0000 6.4537
18.7847 0.0000 2.2616
```

Starting from a structure optimized by DFT (PBE), the X-ray powder pattern of TbBr was computed for a wavelength of 1.5418 Å.
Intensities are scaled so that the largest is 100.

Most intense lines, 2θ from 15° to 90°, by angle:
Position (°2θ)	I_rel
16.5	13
29.1	100
33.2	19
33.4	10
35.0	44
41.1	18
47.3	29
48.1	11
56.5	15
59.1	15
65.2	11
76.7	12

Atomic structure:
```
TbBr
1.0
1.9201 1.1086 10.7340
-1.9201 1.1086 10.7340
0.0000 -2.2172 10.7340
Tb Br
2 2
Cartesian
0.0000 0.0000 3.9741
0.0000 0.0000 28.2280
0.0000 0.0000 12.7910
0.0000 0.0000 19.4110
```